Tb4Y7Mg: calculated X-ray powder pattern (Cu Kα (weighted mean of Kα1 and Kα2)), based on DFT lattice parameters and positions (GGA-PBE).
Intensities are scaled so that the largest is 100.

Top 8 peaks for 5 to 70 degrees two-theta, in order of rising 2θ:
two_theta	Rel. int.	h k l
25.7	28	6 0 -1
28.0	23	2 0 -2
31.0	25	6 0 1
31.7	86	5 1 1
32.0	67	0 2 0
32.3	100	1 1 -2
33.4	76	7 1 -1
60.7	24	4 2 3

Atomic structure:
a b c (Å): 22.259 5.602 6.393
angles (deg): 90.00 102.16 90.00
Space group C2/m (No. 12)
Asymmetric unit:
Tb  0.116  0.000  0.345 [4 per cell]
Tb  0.208  0.000  0.888 [4 per cell]
Y  0.000  0.500  0.500 [2 per cell]
Y  0.046  0.000  0.804 [4 per cell]
Y  0.135  0.500  0.998 [4 per cell]
Y  0.210  0.500  0.566 [4 per cell]
Mg  0.000  0.500  0.000 [2 per cell]

Tb4YMg7: calculated X-ray powder pattern (Cu Kα (weighted mean of Kα1 and Kα2)), based on DFT lattice parameters and positions (GGA-PBE).
Intensities are scaled so that the largest is 100.

Top 8 peaks for 5 to 70 degrees two-theta, in order of rising 2θ:
two_theta	Rel. int.	h k l
19.3	17	1 0 0
20.5	80	0 1 1
28.0	43	0 1 3
33.3	100	1 0 4
33.8	97	1 1 0
48.2	35	0 2 4
59.3	17	0 1 8
60.2	36	2 1 4

Atomic structure:
a b c (Å): 5.3048 5.3048 13.2607
angles (deg): 90.00 90.00 120.00
Space group P-3m1 (No. 164)
Asymmetric unit:
Tb  0.3333  0.6667  0.1631 [2 per cell]
Tb  0.3333  0.6667  0.4207 [2 per cell]
Y  0.0000  0.0000  0.0000 [1 per cell]
Mg  0.0000  0.0000  0.2622 [2 per cell]
Mg  0.0000  0.0000  0.5000 [1 per cell]
Mg  0.3333  0.6667  0.6824 [2 per cell]
Mg  0.3333  0.6667  0.9177 [2 per cell]